Diffraction record for Ba2TiMn2Si2PO13. The powder diffractogram is theoretical, not measured: it uses a crystal structure in the Materials Project, relaxed with GGA+U and Cu Ka.
Intensities are scaled so that the largest is 100.

Principal peaks in the range 15° ≤ 2θ ≤ 90°, low angle first:
d (Å)	I/Imax
3.412	86
3.368	73
3.328	100
3.133	86
2.825	76
2.698	73

Atomic structure:
Cell lengths 5.4580, 7.1112, 15.0446 Å; angles 84.27, 88.29, 89.80 degrees
Space group P-1 (No. 2)
Inequivalent atoms, fractional coordinates:
1 Ba 0.2251 0.3412 0.1652 x2
2 Ba 0.2623 0.1762 0.9013 x2
3 Ti 0.2070 0.7949 0.2996 x2
4 Mn 0.0000 0.0000 0.5000 x1
5 Mn 0.0000 0.5000 0.5000 x1
6 Mn 0.4864 0.2482 0.4995 x2
7 Si 0.2966 0.4895 0.6845 x2
8 Si 0.2978 0.9334 0.6872 x2
9 P 0.2535 0.7177 0.9756 x2
10 O 0.0268 0.8378 0.9443 x2
11 O 0.0432 0.3911 0.7249 x2
12 O 0.0438 0.0131 0.7289 x2
13 O 0.1346 0.2591 0.4557 x2
14 O 0.2083 0.7738 0.4178 x2
15 O 0.2418 0.6872 0.0800 x2
16 O 0.2562 0.5334 0.9292 x2
17 O 0.3018 0.7043 0.7155 x2
18 O 0.3098 0.5009 0.5727 x2
19 O 0.3103 0.9716 0.5753 x2
20 O 0.4564 0.9877 0.2699 x2
21 O 0.4574 0.6103 0.2740 x2
22 O 0.4885 0.8336 0.9451 x2

=====

Diffraction record for BaPrMn2O5. The powder diffractogram is theoretical, not measured: it uses a crystal structure in the Materials Project, relaxed with GGA+U and Cu Ka.
Intensities are scaled so that the largest is 100.

Principal peaks in the range 15° ≤ 2θ ≤ 90°, low angle first:
d (Å)	I/Imax
2.854	42
2.831	100
2.317	21
2.018	29
1.643	39
1.630	21

Atomic structure:
Cell lengths 4.0360, 4.0360, 7.9421 Å; angles 90.00, 90.00, 90.00 degrees
Space group P4/mmm (No. 123)
Inequivalent atoms, fractional coordinates:
1 Ba 0.0000 0.0000 0.0000 x1
2 Pr 0.0000 0.0000 0.5000 x1
3 Mn 0.5000 0.5000 0.2594 x2
4 O 0.0000 0.5000 0.3091 x4
5 O 0.5000 0.5000 0.0000 x1

=====

Diffraction record for Ba3Mn4PtO12. The powder diffractogram is theoretical, not measured: it uses a crystal structure in the Materials Project, relaxed with GGA+U and Cu Ka.
Intensities are scaled so that the largest is 100.

Principal peaks in the range 15° ≤ 2θ ≤ 90°, low angle first:
d (Å)	I/Imax
4.607	41
3.902	38
3.653	65
2.987	51
2.975	100
2.308	58

Atomic structure:
Cell lengths 5.1538, 5.9744, 10.2912 Å; angles 90.00, 90.35, 90.00 degrees
Space group Pm (No. 6)
Inequivalent atoms, fractional coordinates:
1 Ba 0.0000 0.0000 0.0000 x1
2 Ba 0.0393 0.5000 0.4927 x1
3 Ba 0.4929 0.5000 0.1638 x1
4 Mn 0.1230 0.5000 0.8376 x1
5 Mn 0.1393 0.0000 0.3221 x1
6 Mn 0.6028 0.5000 0.8326 x1
7 Mn 0.6303 0.0000 0.3258 x1
8 Pt 0.8453 0.0000 0.6650 x1
9 O 0.3552 0.5000 0.6966 x1
10 O 0.3609 0.2925 0.9146 x2
11 O 0.3809 0.2182 0.3872 x2
12 O 0.3839 0.0000 0.1780 x1
13 O 0.8604 0.2897 0.7554 x2
14 O 0.8614 0.5000 0.9719 x1
15 O 0.8824 0.0000 0.4745 x1
16 O 0.8817 0.2140 0.2601 x2

=====

Diffraction record for RbBaMnO4. The powder diffractogram is theoretical, not measured: it uses a crystal structure in the Materials Project, relaxed with GGA+U and Cu Ka.
Intensities are scaled so that the largest is 100.

Principal peaks in the range 15° ≤ 2θ ≤ 90°, low angle first:
d (Å)	I/Imax
3.542	60
3.187	33
3.176	100
3.023	76
2.993	68
2.182	33

Atomic structure:
Cell lengths 8.0192, 5.9863, 10.5071 Å; angles 90.00, 90.00, 90.00 degrees
Space group Pnma (No. 62)
Inequivalent atoms, fractional coordinates:
1 Rb 0.1554 0.2500 0.0821 x4
2 Ba 0.0022 0.7500 0.3082 x4
3 Mn 0.2285 0.2500 0.4152 x4
4 O 0.0149 0.2500 0.4234 x4
5 O 0.1949 0.7500 0.0689 x4
6 O 0.2087 0.5120 0.8367 x8

=====

Diffraction record for Ba2MnReO6. The powder diffractogram is theoretical, not measured: it uses a crystal structure in the Materials Project, relaxed with GGA+U and Cu Ka.
Intensities are scaled so that the largest is 100.

Principal peaks in the range 15° ≤ 2θ ≤ 90°, low angle first:
d (Å)	I/Imax
4.785	18
2.930	100
2.072	30
1.692	40
1.465	18
1.108	22

Atomic structure:
Cell lengths 8.2886, 8.2886, 8.2886 Å; angles 90.00, 90.00, 90.00 degrees
Space group Fm-3m (No. 225)
Inequivalent atoms, fractional coordinates:
1 Ba 0.2500 0.2500 0.2500 x8
2 Mn 0.0000 0.0000 0.0000 x4
3 Re 0.0000 0.0000 0.5000 x4
4 O 0.0000 0.0000 0.2649 x24

=====

Diffraction record for Ba2MnRuO6. The powder diffractogram is theoretical, not measured: it uses a crystal structure in the Materials Project, relaxed with GGA+U and Cu Ka.
Intensities are scaled so that the largest is 100.

Principal peaks in the range 15° ≤ 2θ ≤ 90°, low angle first:
d (Å)	I/Imax
2.952	26
2.924	100
2.914	18
2.057	14
1.688	25
1.462	19

Atomic structure:
Cell lengths 10.1354, 5.8482, 14.3939 Å; angles 90.00, 91.60, 90.00 degrees
Space group C2/m (No. 12)
Inequivalent atoms, fractional coordinates:
1 Ba 0.9995 0.0000 0.2485 x4
2 Ba 0.1667 0.5000 0.0919 x4
3 Ba 0.1670 0.5000 0.4072 x4
4 Mn 0.0000 0.0000 0.5000 x2
5 Mn 0.1656 0.5000 0.8471 x4
6 Ru 0.0000 0.0000 0.0000 x2
7 Ru 0.1676 0.5000 0.6569 x4
8 O 0.0213 0.5000 0.7549 x4
9 O 0.0757 0.2531 0.5876 x8
10 O 0.0793 0.2401 0.9213 x8
11 O 0.1667 0.0000 0.0813 x4
12 O 0.1817 0.0000 0.4199 x4
13 O 0.2443 0.2710 0.7453 x8

=====

Diffraction record for Ba2Mn3Sb2O2. The powder diffractogram is theoretical, not measured: it uses a crystal structure in the Materials Project, relaxed with GGA+U and Cu Ka.
Intensities are scaled so that the largest is 100.

Principal peaks in the range 15° ≤ 2θ ≤ 90°, low angle first:
d (Å)	I/Imax
3.136	55
3.072	100
2.702	46
2.509	57
2.217	60
1.798	41

Atomic structure:
Cell lengths 4.4345, 4.4345, 21.3048 Å; angles 90.00, 90.00, 90.00 degrees
Space group I4/mmm (No. 139)
Inequivalent atoms, fractional coordinates:
1 Ba 0.0000 0.0000 0.0817 x4
2 Mn 0.0000 0.0000 0.5000 x2
3 Mn 0.0000 0.5000 0.2500 x4
4 Sb 0.0000 0.0000 0.3323 x4
5 O 0.0000 0.5000 0.0000 x4

=====

Diffraction record for BaMn2Si2O7. The powder diffractogram is theoretical, not measured: it uses a crystal structure in the Materials Project, relaxed with GGA+U and Cu Ka.
Intensities are scaled so that the largest is 100.

Principal peaks in the range 15° ≤ 2θ ≤ 90°, low angle first:
d (Å)	I/Imax
3.337	51
3.323	46
3.235	96
3.126	100
2.583	32
2.336	39

Atomic structure:
Cell lengths 7.4393, 13.1108, 14.2288 Å; angles 90.00, 90.59, 90.00 degrees
Space group C2/c (No. 15)
Inequivalent atoms, fractional coordinates:
1 Ba 0.2039 0.0149 0.1222 x8
2 Mn 0.0000 0.2302 0.2500 x4
3 Mn 0.0000 0.2329 0.7500 x4
4 Mn 0.0338 0.2334 0.5088 x8
5 Si 0.1762 0.3989 0.6191 x8
6 Si 0.2166 0.3767 0.1347 x8
7 O 0.0052 0.3278 0.8668 x8
8 O 0.0870 0.2776 0.1155 x8
9 O 0.0912 0.4823 0.1206 x8
10 O 0.1172 0.1108 0.9385 x8
11 O 0.1719 0.1125 0.2990 x8
12 O 0.2198 0.1342 0.7543 x8
13 O 0.2482 0.3672 0.5145 x8